Diffraction record for Sr3V2O7. The XRD peak list is calculated, not measured: it uses the PBE+U geometry in Alexandria and copper Kα.
Neutral-atom scattering factors, no anomalous dispersion.

Atomic structure:
```
Sr3V2O7
1.0
-1.9897 1.9897 9.9631
1.9897 -1.9897 9.9631
1.9897 1.9897 -9.9631
Sr V O
3 2 7
Direct
0.0000 0.0000 0.0000 Sr
0.1805 0.1805 0.0000 Sr
0.8195 0.8195 0.0000 Sr
0.4022 0.4022 0.0000 V
0.5978 0.5978 0.0000 V
0.0957 0.5957 0.5000 O
0.3073 0.3073 0.0000 O
0.4043 0.9043 0.5000 O
0.5000 0.5000 0.0000 O
0.5957 0.0957 0.5000 O
0.6927 0.6927 0.0000 O
0.9043 0.4043 0.5000 O
```

Principal peaks in the range 2θ = 5–70°, sorted by position:
- 2θ = 31.79°, 2.815 Å, I = 100.0
- 2θ = 38.90°, 2.315 Å, I = 5.5
- 2θ = 42.09°, 2.147 Å, I = 19.7
- 2θ = 45.58°, 1.990 Å, I = 36.0
- 2θ = 56.63°, 1.625 Å, I = 28.9
- 2θ = 66.42°, 1.407 Å, I = 16.9